Diffraction record for La3Ge4Pd2Pt2. The XRD peak list is calculated, not measured: it uses a cell relaxed with GGA-PBE and copper Kα.
No peak broadening, texture or thermal motion is included.

Main lines, by angle (5 to 70 degrees two-theta):
| Position (°2θ) | I/Imax |
| --- | --- |
| 6.96 | 42.2 |
| 32.51 | 100.0 |
| 40.81 | 21.0 |
| 42.75 | 20.7 |
| 44.25 | 10.7 |
| 60.58 | 14.7 |

Atomic structure:
Unit cell a=13.0630 b=13.0630 c=13.0630 alpha=161.36 beta=160.51 gamma=27.09
Fractional coordinates of all 11 atoms:
1 La 0.0000 0.0000 0.0000
2 La 0.3518 0.8518 0.5000
3 La 0.6482 0.1482 0.5000
4 Ge 0.1958 0.6958 0.5000
5 Ge 0.4503 0.4503 0.0000
6 Ge 0.5497 0.5497 0.0000
7 Ge 0.8042 0.3042 0.5000
8 Pd 0.0972 0.5972 0.5000
9 Pd 0.9028 0.4028 0.5000
10 Pt 0.2499 0.2499 0.0000
11 Pt 0.7501 0.7501 0.0000

=====

Diffraction record for LaGe2PdPt. The XRD peak list is calculated, not measured: it uses a cell relaxed with GGA-PBE and copper Kα.
No peak broadening, texture or thermal motion is included.

Main lines, by angle (5 to 70 degrees two-theta):
| Position (°2θ) | I/Imax |
| --- | --- |
| 28.41 | 27.9 |
| 33.59 | 100.0 |
| 33.73 | 37.5 |
| 40.61 | 76.8 |
| 53.56 | 21.5 |
| 58.78 | 25.7 |

Atomic structure:
Unit cell a=4.4443 b=4.4418 c=10.0279 alpha=90.00 beta=90.33 gamma=90.00
Fractional coordinates of all 10 atoms:
1 La 0.2469 0.2500 0.2543
2 La 0.7531 0.7500 0.7457
3 Ge 0.2494 0.7500 0.5000
4 Ge 0.2599 0.2500 0.8731
5 Ge 0.7401 0.7500 0.1269
6 Ge 0.7506 0.2500 0.5000
7 Pd 0.2368 0.7500 0.9999
8 Pd 0.7632 0.2500 0.0001
9 Pt 0.2523 0.2500 0.6239
10 Pt 0.7477 0.7500 0.3761

=====

Diffraction record for LaSm2Si2Ge2Pd4. The XRD peak list is calculated, not measured: it uses a cell relaxed with GGA-PBE and copper Kα.
No peak broadening, texture or thermal motion is included.

Main lines, by angle (5 to 70 degrees two-theta):
| Position (°2θ) | I/Imax |
| --- | --- |
| 33.12 | 100.0 |
| 33.28 | 28.5 |
| 38.76 | 21.0 |
| 41.47 | 23.9 |
| 43.51 | 20.8 |
| 61.67 | 14.6 |

Atomic structure:
Unit cell a=12.7226 b=12.7226 c=12.7226 alpha=161.18 beta=160.29 gamma=27.38
Fractional coordinates of all 11 atoms:
1 La 0.0000 0.0000 0.0000
2 Sm 0.3510 0.8510 0.5000
3 Sm 0.6490 0.1490 0.5000
4 Si 0.1980 0.6980 0.5000
5 Si 0.8020 0.3020 0.5000
6 Ge 0.4488 0.4488 0.0000
7 Ge 0.5512 0.5512 0.0000
8 Pd 0.1013 0.6013 0.5000
9 Pd 0.2494 0.2494 0.0000
10 Pd 0.7506 0.7506 0.0000
11 Pd 0.8987 0.3987 0.5000

=====

Diffraction record for La2SmSi2Ge2Pd4. The XRD peak list is calculated, not measured: it uses a cell relaxed with GGA-PBE and copper Kα.
No peak broadening, texture or thermal motion is included.

Main lines, by angle (5 to 70 degrees two-theta):
| Position (°2θ) | I/Imax |
| --- | --- |
| 32.94 | 28.2 |
| 33.04 | 100.0 |
| 38.30 | 19.9 |
| 41.58 | 24.0 |
| 43.49 | 20.2 |
| 44.80 | 14.8 |

Atomic structure:
Unit cell a=12.9282 b=12.9282 c=12.9282 alpha=161.48 beta=160.66 gamma=26.91
Fractional coordinates of all 11 atoms:
1 La 0.1480 0.1480 0.0000
2 La 0.8520 0.8520 0.0000
3 Sm 0.5000 0.0000 0.5000
4 Si 0.3018 0.3018 0.0000
5 Si 0.6982 0.6982 0.0000
6 Ge 0.0493 0.5493 0.5000
7 Ge 0.9507 0.4507 0.5000
8 Pd 0.2505 0.7505 0.5000
9 Pd 0.3995 0.3995 0.0000
10 Pd 0.6005 0.6005 0.0000
11 Pd 0.7495 0.2495 0.5000

=====

Diffraction record for LaPrSc2Ge2. The XRD peak list is calculated, not measured: it uses a cell relaxed with GGA-PBE and copper Kα.
No peak broadening, texture or thermal motion is included.

Main lines, by angle (5 to 70 degrees two-theta):
| Position (°2θ) | I/Imax |
| --- | --- |
| 26.30 | 60.4 |
| 28.99 | 86.9 |
| 31.07 | 78.5 |
| 34.53 | 100.0 |
| 36.67 | 82.1 |
| 41.46 | 76.9 |

Atomic structure:
Unit cell a=4.3561 b=4.3561 c=16.1784 alpha=90.00 beta=90.00 gamma=90.00
Fractional coordinates of all 12 atoms:
1 La 0.0000 0.0000 0.0000
2 La 0.5000 0.5000 0.5000
3 Pr 0.0000 0.0000 0.6479
4 Pr 0.5000 0.5000 0.1479
5 Sc 0.0000 0.5000 0.3235
6 Sc 0.0000 0.5000 0.8235
7 Sc 0.5000 0.0000 0.3235
8 Sc 0.5000 0.0000 0.8235
9 Ge 0.0000 0.0000 0.2031
10 Ge 0.0000 0.0000 0.4444
11 Ge 0.5000 0.5000 0.7031
12 Ge 0.5000 0.5000 0.9444

=====

Diffraction record for La2Pr2SiGe3. The XRD peak list is calculated, not measured: it uses a cell relaxed with GGA-PBE and copper Kα.
No peak broadening, texture or thermal motion is included.

Main lines, by angle (5 to 70 degrees two-theta):
| Position (°2θ) | I/Imax |
| --- | --- |
| 26.51 | 15.5 |
| 29.48 | 25.3 |
| 30.80 | 100.0 |
| 33.73 | 54.5 |
| 38.55 | 18.2 |
| 39.39 | 27.0 |

Atomic structure:
Unit cell a=13.5808 b=4.5756 c=6.7256 alpha=90.00 beta=90.18 gamma=90.00
Fractional coordinates of all 16 atoms:
1 La 0.0000 0.0000 0.0000
2 La 0.0998 0.0000 0.5010
3 La 0.5000 0.5000 0.0000
4 La 0.5998 0.5000 0.5010
5 Pr 0.2730 0.0000 0.9963
6 Pr 0.3237 0.5000 0.5015
7 Pr 0.7730 0.5000 0.9963
8 Pr 0.8237 0.0000 0.5015
9 Si 0.1454 0.5000 0.8070
10 Si 0.6454 0.0000 0.8070
11 Ge 0.1477 0.5000 0.1898
12 Ge 0.4503 0.0000 0.3041
13 Ge 0.4536 0.0000 0.6965
14 Ge 0.6477 0.0000 0.1898
15 Ge 0.9503 0.5000 0.3041
16 Ge 0.9536 0.5000 0.6965

=====

Diffraction record for La2PrZn4Ge4. The XRD peak list is calculated, not measured: it uses a cell relaxed with GGA-PBE and copper Kα.
No peak broadening, texture or thermal motion is included.

Main lines, by angle (5 to 70 degrees two-theta):
| Position (°2θ) | I/Imax |
| --- | --- |
| 32.36 | 55.7 |
| 32.70 | 100.0 |
| 42.02 | 28.8 |
| 42.12 | 28.6 |
| 44.63 | 29.7 |
| 54.01 | 25.7 |

Atomic structure:
Unit cell a=13.0270 b=13.0270 c=13.0270 alpha=161.04 beta=161.00 gamma=26.97
Fractional coordinates of all 11 atoms:
1 La 0.1455 0.1455 0.0000
2 La 0.8545 0.8545 0.0000
3 Pr 0.5000 0.0000 0.5000
4 Zn 0.2503 0.7503 0.5000
5 Zn 0.4058 0.4058 0.0000
6 Zn 0.5942 0.5942 0.0000
7 Zn 0.7497 0.2497 0.5000
8 Ge 0.0490 0.5490 0.5000
9 Ge 0.3082 0.3082 0.0000
10 Ge 0.6918 0.6918 0.0000
11 Ge 0.9510 0.4510 0.5000

=====

Diffraction record for LaPrZn6Ge3. The XRD peak list is calculated, not measured: it uses a cell relaxed with GGA-PBE and copper Kα.
No peak broadening, texture or thermal motion is included.

Main lines, by angle (5 to 70 degrees two-theta):
| Position (°2θ) | I/Imax |
| --- | --- |
| 31.74 | 100.0 |
| 35.59 | 21.6 |
| 40.55 | 33.0 |
| 41.95 | 53.1 |
| 43.77 | 24.7 |
| 68.27 | 21.0 |

Atomic structure:
Unit cell a=4.1362 b=13.3502 c=7.7070 alpha=90.00 beta=90.00 gamma=90.00
Fractional coordinates of all 22 atoms:
1 La 0.0000 0.0839 0.0000
2 La 0.0000 0.9161 0.5000
3 Pr 0.0000 0.4173 0.9995
4 Pr 0.0000 0.5827 0.4995
5 Zn 0.0000 0.1559 0.4064
6 Zn 0.0000 0.2510 0.6885
7 Zn 0.0000 0.3446 0.4044
8 Zn 0.0000 0.6554 0.9044
9 Zn 0.0000 0.7490 0.1885
10 Zn 0.0000 0.8441 0.9064
11 Zn 0.5000 0.1061 0.6443
12 Zn 0.5000 0.2510 0.2109
13 Zn 0.5000 0.3948 0.6439
14 Zn 0.5000 0.6052 0.1439
15 Zn 0.5000 0.7490 0.7109
16 Zn 0.5000 0.8939 0.1443
17 Ge 0.5000 0.0604 0.3102
18 Ge 0.5000 0.2507 0.8801
19 Ge 0.5000 0.4407 0.3090
20 Ge 0.5000 0.5593 0.8090
21 Ge 0.5000 0.7493 0.3801
22 Ge 0.5000 0.9396 0.8102